Record 1
Diffraction record for Ho8Ge3Te4H. The XRD peak list is computed, not measured: it uses a PBE-relaxed structure and Cu Kα, 1.54184 Å.
Lines closer than 0.1° are merged.

Crystal structure
```
data_Ho8Ge3Te4H
_cell_length_a 8.3411
_cell_length_b 8.3411
_cell_length_c 20.9716
_cell_angle_alpha 90.00
_cell_angle_beta 90.00
_cell_angle_gamma 120.00
_space_group_name_H-M_alt 'R -3 m'
_space_group_IT_number 166
_space_group_name_Hall '-R 3 2"'
loop_
_atom_site_label
_atom_site_fract_x
_atom_site_fract_y
_atom_site_fract_z
_atom_site_occupancy
Ho1 0.0000 0.0000 0.2399 1
Ho2 0.0059 0.5029 0.7596 1
Ge1 0.0000 0.5000 0.5000 1
Te1 0.0000 0.0000 0.0000 1
Te2 0.0000 0.5000 0.0000 1
H1 0.0000 0.0000 0.5000 1
```

Most intense lines, 10° ≤ 2θ ≤ 90°, by angle:
hkl 2 0 2, 26.1 deg, I 11
hkl 0 2 4, 30.0 deg, I 100
hkl 2 0 5, 32.7 deg, I 9
hkl 2 0 8, 42.6 deg, I 34
hkl 2 2 0, 43.4 deg, I 38
hkl 4 0 4, 53.7 deg, I 20
hkl 0 4 8, 62.4 deg, I 11
hkl 2 2 12, 70.3 deg, I 13
hkl 2 4 4, 71.4 deg, I 17
hkl 4 2 8, 79.1 deg, I 11


Record 2
Diffraction record for Cs2TcSBr5. The XRD peak list is computed, not measured: it uses a PBE-relaxed structure and Cu Kα, 1.54184 Å.
Lines closer than 0.1° are merged.

Crystal structure
```
data_Cs2TcSBr5
_cell_length_a 7.798
_cell_length_b 7.798
_cell_length_c 10.830
_cell_angle_alpha 90.00
_cell_angle_beta 90.00
_cell_angle_gamma 90.00
_space_group_name_H-M_alt 'I 4 m m'
_space_group_IT_number 107
_space_group_name_Hall 'I 4 -2'
loop_
_atom_site_label
_atom_site_fract_x
_atom_site_fract_y
_atom_site_fract_z
_atom_site_occupancy
Cs1 0.000 0.500 0.000 1
Tc1 0.000 0.000 0.232 1
S1 0.000 0.000 0.033 1
Br1 0.000 0.000 0.479 1
Br2 0.232 0.232 0.249 1
```

Most intense lines, 10° ≤ 2θ ≤ 90°, by angle:
hkl 1 0 1, 14.0 deg, I 39
hkl 1 1 2, 23.0 deg, I 30
hkl 2 0 2, 28.2 deg, I 100
hkl 2 2 0, 32.5 deg, I 61
hkl 0 0 4, 33.1 deg, I 28
hkl 4 0 0, 46.6 deg, I 21
hkl 2 2 4, 47.0 deg, I 39
hkl 4 2 2, 55.4 deg, I 26
hkl 2 0 6, 56.2 deg, I 13
hkl 4 0 4, 58.3 deg, I 19


Record 3
Diffraction record for Zn2BiI6. The XRD peak list is computed, not measured: it uses a PBE-relaxed structure and Cu Kα, 1.54184 Å.
Lines closer than 0.1° are merged.

Crystal structure
```
data_Zn2BiI6
_cell_length_a 16.586
_cell_length_b 13.238
_cell_length_c 7.978
_cell_angle_alpha 90.00
_cell_angle_beta 114.06
_cell_angle_gamma 90.00
_space_group_name_H-M_alt 'C 1 2/c 1'
_space_group_IT_number 15
_space_group_name_Hall '-C 2yc'
loop_
_atom_site_label
_atom_site_fract_x
_atom_site_fract_y
_atom_site_fract_z
_atom_site_occupancy
Zn1 0.201 0.089 0.258 1
Bi1 0.000 0.315 0.250 1
I1 0.126 0.409 0.628 1
I2 0.134 0.059 0.505 1
I3 0.141 0.265 0.101 1
```

Most intense lines, 10° ≤ 2θ ≤ 90°, by angle:
hkl 1 1 -1, 13.0 deg, I 38
hkl 1 1 1, 16.9 deg, I 29
hkl 1 3 0, 21.0 deg, I 32
hkl 4 0 0, 23.5 deg, I 24
hkl 1 3 1, 25.5 deg, I 100
hkl 4 0 -2, 26.1 deg, I 35
hkl 3 3 -1, 26.3 deg, I 28
hkl 0 4 1, 29.6 deg, I 30
hkl 2 0 2, 31.3 deg, I 27
hkl 5 3 1, 42.0 deg, I 28


Record 4
Diffraction record for Ru5Rh. The XRD peak list is computed, not measured: it uses a PBE-relaxed structure and Cu Kα, 1.54184 Å.
Lines closer than 0.1° are merged.

Crystal structure
```
data_Ru5Rh
_cell_length_a 9.841
_cell_length_b 2.729
_cell_length_c 6.405
_cell_angle_alpha 90.00
_cell_angle_beta 103.65
_cell_angle_gamma 90.00
_space_group_name_H-M_alt 'C 1 m 1'
_space_group_IT_number 8
_space_group_name_Hall 'C -2y'
loop_
_atom_site_label
_atom_site_fract_x
_atom_site_fract_y
_atom_site_fract_z
_atom_site_occupancy
Ru1 0.000 0.000 0.000 1
Ru2 0.055 0.000 0.615 1
Ru3 0.223 0.500 0.946 1
Ru4 0.335 0.000 0.673 1
Ru5 0.391 0.000 0.280 1
Rh1 0.168 0.500 0.336 1
```

Most intense lines, 10° ≤ 2θ ≤ 90°, by angle:
hkl 2 0 2, 38.1 deg, I 25
hkl 4 0 -2, 41.9 deg, I 25
hkl 1 1 -2, 43.6 deg, I 100
hkl 2 0 -4, 57.9 deg, I 14
hkl 3 1 3, 68.8 deg, I 17
hkl 5 1 -4, 77.7 deg, I 18
hkl 2 2 2, 81.4 deg, I 3
hkl 7 1 1, 83.9 deg, I 19
hkl 6 0 3, 85.1 deg, I 14


Record 5
Diffraction record for RbTaTlGeTeAs. The XRD peak list is computed, not measured: it uses a PBE-relaxed structure and Cu Kα, 1.54184 Å.
Lines closer than 0.1° are merged.

Crystal structure
```
data_RbTaTlGeTeAs
_cell_length_a 3.597
_cell_length_b 4.918
_cell_length_c 10.543
_cell_angle_alpha 87.20
_cell_angle_beta 89.93
_cell_angle_gamma 68.63
_space_group_name_H-M_alt 'P 1'
_space_group_IT_number 1
_space_group_name_Hall 'P 1'
loop_
_atom_site_label
_atom_site_fract_x
_atom_site_fract_y
_atom_site_fract_z
_atom_site_occupancy
Rb1 0.000 0.000 0.000 1
Ta1 0.221 0.562 0.560 1
Tl1 0.296 0.414 0.252 1
Ge1 0.578 0.851 0.392 1
Te1 0.703 0.596 0.765 1
As1 0.932 0.139 0.557 1
```

Most intense lines, 10° ≤ 2θ ≤ 90°, by angle:
hkl 0 1 0, 19.4 deg, I 40
hkl 0 1 -1, 21.6 deg, I 40
hkl 0 1 -2, 26.5 deg, I 36
hkl 1 1 1, 27.8 deg, I 39
hkl 1 0 1, 28.1 deg, I 42
hkl 0 1 3, 31.4 deg, I 100
hkl 1 1 3, 36.8 deg, I 52
hkl 1 0 3, 37.5 deg, I 61
hkl 1 -1 0, 38.7 deg, I 39
hkl 1 -1 1, 40.0 deg, I 42


Record 6
Diffraction record for Li5US6. The XRD peak list is computed, not measured: it uses a PBE-relaxed structure and Cu Kα, 1.54184 Å.
Lines closer than 0.1° are merged.

Crystal structure
```
data_Li5US6
_cell_length_a 6.419
_cell_length_b 11.104
_cell_length_c 6.402
_cell_angle_alpha 90.00
_cell_angle_beta 109.46
_cell_angle_gamma 90.00
_space_group_name_H-M_alt 'C 1 2/m 1'
_space_group_IT_number 12
_space_group_name_Hall '-C 2y'
loop_
_atom_site_label
_atom_site_fract_x
_atom_site_fract_y
_atom_site_fract_z
_atom_site_occupancy
Li1 0.000 0.000 0.000 1
Li2 0.000 0.167 0.500 1
Li3 0.000 0.334 0.000 1
U1 0.000 0.500 0.500 1
S1 0.243 0.500 0.259 1
S2 0.244 0.338 0.749 1
```

Most intense lines, 10° ≤ 2θ ≤ 90°, by angle:
hkl 0 0 1, 14.7 deg, I 63
hkl 0 2 0, 16.0 deg, I 54
hkl 1 1 0, 16.7 deg, I 96
hkl 1 1 -1, 18.7 deg, I 72
hkl 0 2 1, 21.7 deg, I 51
hkl 1 1 1, 25.4 deg, I 33
hkl 2 0 -1, 28.3 deg, I 39
hkl 0 2 2, 33.8 deg, I 31
hkl 1 3 1, 34.3 deg, I 100
hkl 2 0 2, 49.2 deg, I 46


Record 7
Diffraction record for Pm4NdY3. The XRD peak list is computed, not measured: it uses a PBE-relaxed structure and Cu Kα, 1.54184 Å.
Lines closer than 0.1° are merged.

Crystal structure
```
data_Pm4NdY3
_cell_length_a 11.633
_cell_length_b 7.368
_cell_length_c 6.364
_cell_angle_alpha 90.00
_cell_angle_beta 90.00
_cell_angle_gamma 90.00
_space_group_name_H-M_alt 'P m n 21'
_space_group_IT_number 31
_space_group_name_Hall 'P 2ac -2'
loop_
_atom_site_label
_atom_site_fract_x
_atom_site_fract_y
_atom_site_fract_z
_atom_site_occupancy
Pm1 0.000 0.126 0.000 1
Pm2 0.000 0.874 0.495 1
Pm3 0.248 0.876 0.828 1
Nd1 0.000 0.374 0.493 1
Y1 0.000 0.624 0.994 1
Y2 0.250 0.376 0.829 1
```

Most intense lines, 10° ≤ 2θ ≤ 90°, by angle:
hkl 0 2 1, 28.0 deg, I 24
hkl 4 0 0, 30.7 deg, I 25
hkl 2 0 2, 32.0 deg, I 100
hkl 4 2 1, 42.1 deg, I 16
hkl 0 2 3, 49.6 deg, I 13
hkl 6 0 2, 55.5 deg, I 21
hkl 4 4 0, 59.5 deg, I 22
hkl 2 4 2, 60.2 deg, I 11
hkl 2 2 5, 81.7 deg, I 9
hkl 8 4 0, 85.0 deg, I 8


Record 8
Diffraction record for NaCu6O8. The XRD peak list is computed, not measured: it uses a PBE-relaxed structure and Cu Kα, 1.54184 Å.
Lines closer than 0.1° are merged.

Crystal structure
```
data_NaCu6O8
_cell_length_a 9.150
_cell_length_b 9.150
_cell_length_c 9.150
_cell_angle_alpha 90.00
_cell_angle_beta 90.00
_cell_angle_gamma 90.00
_space_group_name_H-M_alt 'F m -3 m'
_space_group_IT_number 225
_space_group_name_Hall '-F 4 2 3'
loop_
_atom_site_label
_atom_site_fract_x
_atom_site_fract_y
_atom_site_fract_z
_atom_site_occupancy
Na1 0.000 0.000 0.000 1
Cu1 0.000 0.250 0.250 1
O1 0.145 0.145 0.145 1
```

Most intense lines, 10° ≤ 2θ ≤ 90°, by angle:
hkl 1 1 1, 16.8 deg, I 10
hkl 2 0 0, 19.4 deg, I 36
hkl 2 2 0, 27.6 deg, I 15
hkl 2 2 2, 33.9 deg, I 100
hkl 4 0 0, 39.4 deg, I 27
hkl 3 3 1, 43.1 deg, I 6
hkl 4 2 2, 48.8 deg, I 8
hkl 4 4 0, 56.9 deg, I 45
hkl 6 2 2, 68.0 deg, I 36
hkl 4 4 4, 71.4 deg, I 7


Record 9
Diffraction record for AcAgCl6. The XRD peak list is computed, not measured: it uses a PBE-relaxed structure and Cu Kα, 1.54184 Å.
Lines closer than 0.1° are merged.

Crystal structure
```
data_AcAgCl6
_cell_length_a 4.931
_cell_length_b 6.710
_cell_length_c 7.163
_cell_angle_alpha 94.45
_cell_angle_beta 103.85
_cell_angle_gamma 91.71
_space_group_name_H-M_alt 'P -1'
_space_group_IT_number 2
_space_group_name_Hall '-P 1'
loop_
_atom_site_label
_atom_site_fract_x
_atom_site_fract_y
_atom_site_fract_z
_atom_site_occupancy
Ac1 0.000 0.000 0.000 1
Ag1 0.000 0.500 0.500 1
Cl1 0.170 0.188 0.416 1
Cl2 0.174 0.647 0.258 1
Cl3 0.468 0.754 0.947 1
```

Most intense lines, 10° ≤ 2θ ≤ 90°, by angle:
hkl 0 1 -1, 17.6 deg, I 100
hkl 1 0 0, 18.6 deg, I 100
hkl 0 1 1, 19.2 deg, I 82
hkl 1 1 -1, 23.8 deg, I 53
hkl -1 1 1, 24.0 deg, I 34
hkl 0 0 2, 25.7 deg, I 53
hkl 1 1 1, 29.4 deg, I 60
hkl 1 -2 0, 31.9 deg, I 56
hkl 1 2 -2, 38.0 deg, I 30
hkl 0 1 -3, 40.2 deg, I 33


Record 10
Diffraction record for Cs2Rb2Au2O. The XRD peak list is computed, not measured: it uses a PBE-relaxed structure and Cu Kα, 1.54184 Å.
Lines closer than 0.1° are merged.

Crystal structure
```
data_Cs2Rb2Au2O
_cell_length_a 17.494
_cell_length_b 4.534
_cell_length_c 7.823
_cell_angle_alpha 90.00
_cell_angle_beta 116.55
_cell_angle_gamma 90.00
_space_group_name_H-M_alt 'C 1 2/m 1'
_space_group_IT_number 12
_space_group_name_Hall '-C 2y'
loop_
_atom_site_label
_atom_site_fract_x
_atom_site_fract_y
_atom_site_fract_z
_atom_site_occupancy
Cs1 0.001 0.000 0.251 1
Rb1 0.175 0.500 0.677 1
Au1 0.158 0.500 0.157 1
O1 0.000 0.500 0.500 1
```

Most intense lines, 10° ≤ 2θ ≤ 90°, by angle:
hkl 2 0 1, 20.5 deg, I 15
hkl 2 0 -2, 22.7 deg, I 20
hkl 0 0 2, 25.5 deg, I 43
hkl 3 1 0, 26.0 deg, I 100
hkl 3 1 -2, 30.7 deg, I 67
hkl 6 0 -2, 32.4 deg, I 38
hkl 6 0 0, 34.4 deg, I 25
hkl 0 2 0, 39.8 deg, I 18
hkl 7 1 -2, 42.0 deg, I 24
hkl 7 1 -4, 54.0 deg, I 28


Record 11
Diffraction record for NaZr2Se4. The XRD peak list is computed, not measured: it uses a PBE-relaxed structure and Cu Kα, 1.54184 Å.
Lines closer than 0.1° are merged.

Crystal structure
```
data_NaZr2Se4
_cell_length_a 8.139
_cell_length_b 8.139
_cell_length_c 11.431
_cell_angle_alpha 90.00
_cell_angle_beta 90.00
_cell_angle_gamma 90.00
_space_group_name_H-M_alt 'I 41/a m d'
_space_group_IT_number 141
loop_
_space_group_symop_operation_xyz
'x,y,z'
'-x,-y,-z'
'-y+1/4,x+3/4,z+1/4'
'y+1/4,-x+3/4,-z+1/4'
'-x+1/2,-y,z+1/2'
'x+1/2,y,-z+1/2'
'y+1/4,-x+1/4,z+3/4'
'-y+1/4,x+1/4,-z+3/4'
'x,-y,-z'
'-x,y,z'
'-y+1/4,-x+1/4,-z+3/4'
'y+1/4,x+1/4,z+3/4'
'-x+1/2,y,-z+1/2'
'x+1/2,-y,z+1/2'
'y+1/4,x+3/4,-z+1/4'
'-y+1/4,-x+3/4,z+1/4'
'x+1/2,y+1/2,z+1/2'
'-x+1/2,-y+1/2,-z+1/2'
'-y+3/4,x+1/4,z+3/4'
'y+3/4,-x+1/4,-z+3/4'
'-x,-y+1/2,z'
'x,y+1/2,-z'
'y+3/4,-x+3/4,z+1/4'
'-y+3/4,x+3/4,-z+1/4'
'x+1/2,-y+1/2,-z+1/2'
'-x+1/2,y+1/2,z+1/2'
'-y+3/4,-x+3/4,-z+1/4'
'y+3/4,x+3/4,z+1/4'
'-x,y+1/2,-z'
'x,-y+1/2,z'
'y+3/4,x+1/4,-z+3/4'
'-y+3/4,-x+1/4,z+3/4'
loop_
_atom_site_label
_atom_site_fract_x
_atom_site_fract_y
_atom_site_fract_z
_atom_site_occupancy
Na1 0.000 0.250 0.375 1
Zr1 0.000 0.000 0.000 1
Se1 0.000 0.024 0.761 1
```

Most intense lines, 10° ≤ 2θ ≤ 90°, by angle:
hkl 1 0 1, 13.4 deg, I 88
hkl 2 1 1, 25.7 deg, I 28
hkl 2 0 2, 26.9 deg, I 20
hkl 2 2 0, 31.1 deg, I 100
hkl 0 0 4, 31.3 deg, I 50
hkl 3 2 1, 40.7 deg, I 32
hkl 4 0 0, 44.5 deg, I 42
hkl 2 2 4, 44.7 deg, I 84
hkl 4 0 4, 55.4 deg, I 34
hkl 6 2 4, 82.1 deg, I 22


Record 12
Diffraction record for Ni2Os. The XRD peak list is computed, not measured: it uses a PBE-relaxed structure and Cu Kα, 1.54184 Å.
Lines closer than 0.1° are merged.

Crystal structure
```
data_Ni2Os
_cell_length_a 4.4909
_cell_length_b 4.4909
_cell_length_c 12.4991
_cell_angle_alpha 90.00
_cell_angle_beta 90.00
_cell_angle_gamma 120.00
_space_group_name_H-M_alt 'R 3 2'
_space_group_IT_number 155
_space_group_name_Hall 'R 3 2"'
loop_
_atom_site_label
_atom_site_fract_x
_atom_site_fract_y
_atom_site_fract_z
_atom_site_occupancy
Ni1 0.0000 0.0000 0.0000 1
Ni2 0.0000 0.3338 0.5000 1
Os1 0.0000 0.0000 0.3327 1
```

Most intense lines, 10° ≤ 2θ ≤ 90°, by angle:
hkl 0 0 3, 21.3 deg, I 22
hkl 1 0 1, 24.0 deg, I 12
hkl 0 1 2, 27.0 deg, I 10
hkl 1 1 0, 40.2 deg, I 34
hkl 0 0 6, 43.4 deg, I 25
hkl 1 1 3, 45.9 deg, I 100
hkl 1 1 6, 60.6 deg, I 20
hkl 3 0 0, 73.0 deg, I 15
hkl 1 1 9, 81.5 deg, I 18
hkl 3 0 6, 88.9 deg, I 19


Record 13
Diffraction record for Cu3ReNi12. The XRD peak list is computed, not measured: it uses a PBE-relaxed structure and Cu Kα, 1.54184 Å.
Lines closer than 0.1° are merged.

Crystal structure
```
data_Cu3ReNi12
_cell_length_a 3.564
_cell_length_b 3.564
_cell_length_c 14.194
_cell_angle_alpha 90.00
_cell_angle_beta 90.00
_cell_angle_gamma 90.00
_space_group_name_H-M_alt 'P 4/m m m'
_space_group_IT_number 123
_space_group_name_Hall '-P 4 2'
loop_
_atom_site_label
_atom_site_fract_x
_atom_site_fract_y
_atom_site_fract_z
_atom_site_occupancy
Cu1 0.000 0.000 0.000 1
Cu2 0.000 0.000 0.247 1
Re1 0.000 0.000 0.500 1
Ni1 0.000 0.500 0.124 1
Ni2 0.000 0.500 0.374 1
Ni3 0.500 0.500 0.000 1
Ni4 0.500 0.500 0.248 1
Ni5 0.500 0.500 0.500 1
```

Most intense lines, 10° ≤ 2θ ≤ 90°, by angle:
hkl 0 0 2, 12.5 deg, I 5
hkl 1 0 1, 25.8 deg, I 4
hkl 1 0 2, 28.0 deg, I 3
hkl 1 0 3, 31.4 deg, I 3
hkl 1 1 0, 35.7 deg, I 3
hkl 1 1 4, 44.1 deg, I 100
hkl 2 0 0, 51.3 deg, I 31
hkl 0 0 8, 51.5 deg, I 15
hkl 2 2 0, 75.4 deg, I 9
hkl 2 0 8, 75.6 deg, I 18